# Li6CoNi9O20
Simulated powder diffractogram, CuKα. Input: a structure optimized by DFT (GGA+U).
No peak broadening, texture or thermal motion is included.

Atomic structure:
a = 23.0881 Å, b = 2.8261 Å, c = 11.6632 Å
α = 90.00°, β = 114.34°, γ = 90.00°
Space group C2/m (No. 12)
One atom of each set of equivalent atoms:
Li  0.0899  0.0000  0.4373 (multiplicity 4)
Li  0.0963  0.0000  0.9479 (multiplicity 4)
Li  0.2103  0.5000  0.6749 (multiplicity 4)
Co  0.0000  0.5000  0.0000 (multiplicity 2)
Ni  0.0000  0.5000  0.5000 (multiplicity 2)
Ni  0.0981  0.0000  0.7030 (multiplicity 4)
Ni  0.0991  0.0000  0.2020 (multiplicity 4)
Ni  0.2006  0.5000  0.4051 (multiplicity 4)
Ni  0.2023  0.5000  0.9014 (multiplicity 4)
O  0.0012  0.0000  0.1084 (multiplicity 4)
O  0.0015  0.0000  0.6078 (multiplicity 4)
O  0.0892  0.5000  0.0769 (multiplicity 4)
O  0.0904  0.5000  0.5757 (multiplicity 4)
O  0.1129  0.5000  0.3336 (multiplicity 4)
O  0.1141  0.5000  0.8339 (multiplicity 4)
O  0.1991  0.0000  0.2995 (multiplicity 4)
O  0.1985  0.0000  0.7899 (multiplicity 4)
O  0.2068  0.0000  0.0115 (multiplicity 4)
O  0.2074  0.0000  0.5206 (multiplicity 4)

Largest 10 diffraction maxima, by angle, 2θ = 15–90°:
| two_theta | intensity | h k l |
| --- | --- | --- |
| 18.20 | 100 | 4 0 -2 |
| 36.04 | 11 | 6 0 2 |
| 37.10 | 23 | 1 1 2 |
| 38.37 | 8 | 5 1 0 |
| 43.00 | 19 | 10 0 0 |
| 44.67 | 34 | 3 1 -4 |
| 47.90 | 7 | 9 1 -2 |
| 58.35 | 9 | 7 1 -6 |
| 62.82 | 9 | 13 1 -4 |
| 64.63 | 9 | 7 1 4 |